# 1
Calculated XRD peak list
Compound: CdCoOs2
Radiation: Cu Kα
Structure: DFT lattice parameters and positions (GGA-PBE)
Intensities are scaled so that the largest is 100.

Largest 10 diffraction maxima, most intense first, 2θ from 15° to 90°:
40.01°, intensity 100; 46.50°, intensity 62; 81.82°, intensity 35; 39.90°, intensity 30; 67.94°, intensity 21; 67.79°, intensity 17; 86.33°, intensity 11; 81.65°, intensity 9; 37.79°, intensity 8; 44.55°, intensity 7

Crystal structure
Cell: 9.177 9.177 9.177 Å, 17.29 17.29 17.29°
Fractional positions:
Cd1 0.000 0.000 0.000
Co1 0.753 0.753 0.753
Os1 0.239 0.239 0.239
Os2 0.494 0.494 0.494

# 2
Calculated XRD peak list
Compound: CdCoReP
Radiation: Cu Kα
Structure: DFT lattice parameters and positions (GGA-PBE)
Intensities are scaled so that the largest is 100.

Largest 10 diffraction maxima, most intense first, 2θ from 15° to 90°:
35.48°, intensity 100; 44.68°, intensity 61; 39.98°, intensity 42; 73.42°, intensity 29; 61.88°, intensity 27; 38.09°, intensity 27; 56.94°, intensity 16; 34.77°, intensity 14; 76.41°, intensity 12; 79.49°, intensity 11

Crystal structure
Cell: 7.773 7.773 7.773 Å, 22.25 22.25 22.25°
Fractional positions:
Cd1 0.000 0.000 0.000
Co1 0.430 0.430 0.430
Re1 0.559 0.559 0.559
P1 0.822 0.822 0.822

Copy entry 1 word for word.
Calculated XRD peak list
Compound: CdCoOs2
Radiation: Cu Kα
Structure: DFT lattice parameters and positions (GGA-PBE)
Intensities are scaled so that the largest is 100.

Largest 10 diffraction maxima, most intense first, 2θ from 15° to 90°:
40.01°, intensity 100; 46.50°, intensity 62; 81.82°, intensity 35; 39.90°, intensity 30; 67.94°, intensity 21; 67.79°, intensity 17; 86.33°, intensity 11; 81.65°, intensity 9; 37.79°, intensity 8; 44.55°, intensity 7

Crystal structure
Cell: 9.177 9.177 9.177 Å, 17.29 17.29 17.29°
Fractional positions:
Cd1 0.000 0.000 0.000
Co1 0.753 0.753 0.753
Os1 0.239 0.239 0.239
Os2 0.494 0.494 0.494